This entry pairs a crystal structure of Pm7Sn2Ru2 with its computed powder diffraction line list. Radiation: Cu Kα, 1.54184 Å. Structure: a structure optimized by DFT (GGA-PBE).
Kinematic intensities with the Lorentz-polarization factor, no thermal factor.

Peak list (10 most intense, 2θ from 15° to 90°, most intense first)
- 2.447 Å, rel. 100
- 2.804 Å, rel. 62
- 3.328 Å, rel. 50
- 3.174 Å, rel. 44
- 2.478 Å, rel. 44
- 3.588 Å, rel. 35
- 3.036 Å, rel. 20
- 1.805 Å, rel. 19
- 1.518 Å, rel. 19
- 2.067 Å, rel. 19

Cell and atoms:
```
data_Pm7Sn2Ru2
_chemical_formula_sum 'Pm7 Sn2 Ru2'
_space_group_name_H-M_alt 'P 1'
_space_group_IT_number 1
_cell_length_a 6.9682
_cell_length_b 6.9682
_cell_length_c 7.2219
_cell_angle_alpha 90.00
_cell_angle_beta 90.00
_cell_angle_gamma 107.20
loop_
_space_group_symop_operation_xyz
'x,y,z'
loop_
_atom_site_label
_atom_site_type_symbol
_atom_site_fract_x
_atom_site_fract_y
_atom_site_fract_z
Pm1 Pm 0.0000 0.0000 0.0000
Pm2 Pm 0.0000 0.5000 0.2510
Pm3 Pm 0.0000 0.5000 0.7490
Pm4 Pm 0.5000 0.0000 0.2510
Pm5 Pm 0.5000 0.0000 0.7490
Pm6 Pm 0.5000 0.5000 0.2378
Pm7 Pm 0.5000 0.5000 0.7622
Sn1 Sn 0.1769 0.1769 0.5000
Sn2 Sn 0.8231 0.8231 0.5000
Ru1 Ru 0.2901 0.7099 0.0000
Ru2 Ru 0.7099 0.2901 0.0000
```

***

This entry pairs a crystal structure of Pm4Sn5Ru2 with its computed powder diffraction line list. Radiation: Cu Kα, 1.54184 Å. Structure: a structure optimized by DFT (GGA-PBE).
Kinematic intensities with the Lorentz-polarization factor, no thermal factor.

Peak list (10 most intense, 2θ from 15° to 90°, most intense first)
- 2.821 Å, rel. 100
- 2.881 Å, rel. 44
- 2.100 Å, rel. 25
- 1.537 Å, rel. 16
- 2.172 Å, rel. 15
- 2.253 Å, rel. 14
- 2.447 Å, rel. 13
- 2.760 Å, rel. 13
- 2.667 Å, rel. 12
- 2.355 Å, rel. 12

Cell and atoms:
```
data_Pm4Sn5Ru2
_chemical_formula_sum 'Pm4 Sn5 Ru2'
_space_group_name_H-M_alt 'P 1'
_space_group_IT_number 1
_cell_length_a 7.6146
_cell_length_b 4.1996
_cell_length_c 9.0417
_cell_angle_alpha 90.00
_cell_angle_beta 92.46
_cell_angle_gamma 90.00
loop_
_space_group_symop_operation_xyz
'x,y,z'
loop_
_atom_site_label
_atom_site_type_symbol
_atom_site_fract_x
_atom_site_fract_y
_atom_site_fract_z
Pm1 Pm 0.2027 0.0000 0.3470
Pm2 Pm 0.2324 0.0000 0.9142
Pm3 Pm 0.7676 0.0000 0.0858
Pm4 Pm 0.7973 0.0000 0.6530
Sn1 Sn 0.1299 0.5000 0.6354
Sn2 Sn 0.4352 0.5000 0.1586
Sn3 Sn 0.5000 0.5000 0.5000
Sn4 Sn 0.5648 0.5000 0.8414
Sn5 Sn 0.8701 0.5000 0.3646
Ru1 Ru 0.0724 0.5000 0.1228
Ru2 Ru 0.9276 0.5000 0.8772
```

***

This entry pairs a crystal structure of Pm8Sn2Ru with its computed powder diffraction line list. Radiation: Cu Kα, 1.54184 Å. Structure: a structure optimized by DFT (GGA-PBE).
Kinematic intensities with the Lorentz-polarization factor, no thermal factor.

Peak list (10 most intense, 2θ from 15° to 90°, most intense first)
- 2.849 Å, rel. 100
- 3.031 Å, rel. 91
- 2.546 Å, rel. 76
- 2.670 Å, rel. 56
- 2.432 Å, rel. 40
- 3.174 Å, rel. 38
- 3.143 Å, rel. 32
- 2.788 Å, rel. 28
- 1.460 Å, rel. 27
- 3.190 Å, rel. 25

Cell and atoms:
```
data_Pm8Sn2Ru
_chemical_formula_sum 'Pm8 Sn2 Ru1'
_space_group_name_H-M_alt 'P 1'
_space_group_IT_number 1
_cell_length_a 10.1106
_cell_length_b 10.1106
_cell_length_c 6.9055
_cell_angle_alpha 105.00
_cell_angle_beta 105.00
_cell_angle_gamma 29.17
loop_
_space_group_symop_operation_xyz
'x,y,z'
loop_
_atom_site_label
_atom_site_type_symbol
_atom_site_fract_x
_atom_site_fract_y
_atom_site_fract_z
Pm1 Pm 0.0154 0.0154 0.2850
Pm2 Pm 0.2163 0.2163 0.8179
Pm3 Pm 0.3549 0.3549 0.5037
Pm4 Pm 0.4101 0.4101 0.0370
Pm5 Pm 0.5899 0.5899 0.9630
Pm6 Pm 0.6451 0.6451 0.4963
Pm7 Pm 0.7837 0.7837 0.1821
Pm8 Pm 0.9846 0.9846 0.7150
Sn1 Sn 0.1798 0.1798 0.2495
Sn2 Sn 0.8202 0.8202 0.7505
Ru1 Ru 0.5000 0.5000 0.5000
```

***

This entry pairs a crystal structure of TbPm8Ru2 with its computed powder diffraction line list. Radiation: Cu Kα, 1.54184 Å. Structure: a structure optimized by DFT (GGA-PBE).
Kinematic intensities with the Lorentz-polarization factor, no thermal factor.

Peak list (10 most intense, 2θ from 15° to 90°, most intense first)
- 2.814 Å, rel. 100
- 2.756 Å, rel. 72
- 3.392 Å, rel. 32
- 1.837 Å, rel. 23
- 3.409 Å, rel. 20
- 4.254 Å, rel. 19
- 2.901 Å, rel. 18
- 3.376 Å, rel. 16
- 2.133 Å, rel. 16
- 5.623 Å, rel. 15

Cell and atoms:
```
data_TbPm8Ru2
_chemical_formula_sum 'Tb1 Pm8 Ru2'
_space_group_name_H-M_alt 'P 1'
_space_group_IT_number 1
_cell_length_a 7.5963
_cell_length_b 7.5963
_cell_length_c 7.3950
_cell_angle_alpha 108.73
_cell_angle_beta 108.73
_cell_angle_gamma 68.11
loop_
_space_group_symop_operation_xyz
'x,y,z'
loop_
_atom_site_label
_atom_site_type_symbol
_atom_site_fract_x
_atom_site_fract_y
_atom_site_fract_z
Tb1 Tb 0.0000 0.0000 0.0000
Pm1 Pm 0.1222 0.1222 0.6949
Pm2 Pm 0.1904 0.5806 0.6955
Pm3 Pm 0.3288 0.3288 0.1897
Pm4 Pm 0.4194 0.8096 0.3045
Pm5 Pm 0.5806 0.1904 0.6955
Pm6 Pm 0.6712 0.6712 0.8103
Pm7 Pm 0.8096 0.4194 0.3045
Pm8 Pm 0.8778 0.8778 0.3051
Ru1 Ru 0.1914 0.1914 0.3977
Ru2 Ru 0.8086 0.8086 0.6023
```

***

This entry pairs a crystal structure of Tb3PmRu with its computed powder diffraction line list. Radiation: Cu Kα, 1.54184 Å. Structure: a structure optimized by DFT (GGA-PBE).
Kinematic intensities with the Lorentz-polarization factor, no thermal factor.

Peak list (10 most intense, 2θ from 15° to 90°, most intense first)
- 2.641 Å, rel. 100
- 2.631 Å, rel. 97
- 3.329 Å, rel. 89
- 2.467 Å, rel. 56
- 2.427 Å, rel. 54
- 3.053 Å, rel. 47
- 1.730 Å, rel. 38
- 1.438 Å, rel. 30
- 1.900 Å, rel. 24
- 1.560 Å, rel. 18

Cell and atoms:
```
data_Tb3PmRu
_chemical_formula_sum 'Tb6 Pm2 Ru2'
_space_group_name_H-M_alt 'P 1'
_space_group_IT_number 1
_cell_length_a 4.9348
_cell_length_b 9.7070
_cell_length_c 6.5725
_cell_angle_alpha 90.00
_cell_angle_beta 111.74
_cell_angle_gamma 90.00
loop_
_space_group_symop_operation_xyz
'x,y,z'
loop_
_atom_site_label
_atom_site_type_symbol
_atom_site_fract_x
_atom_site_fract_y
_atom_site_fract_z
Tb1 Tb 0.1355 0.0001 0.2674
Tb2 Tb 0.1355 0.4999 0.2674
Tb3 Tb 0.3642 0.2500 0.7306
Tb4 Tb 0.6358 0.7500 0.2694
Tb5 Tb 0.8645 0.9999 0.7326
Tb6 Tb 0.8645 0.5001 0.7326
Pm1 Pm 0.3598 0.7500 0.7213
Pm2 Pm 0.6402 0.2500 0.2787
Ru1 Ru 0.0043 0.7500 0.0074
Ru2 Ru 0.9957 0.2500 0.9926
```

***

This entry pairs a crystal structure of Pm5Te4Ru with its computed powder diffraction line list. Radiation: Cu Kα, 1.54184 Å. Structure: a structure optimized by DFT (GGA-PBE).
Kinematic intensities with the Lorentz-polarization factor, no thermal factor.

Peak list (10 most intense, 2θ from 15° to 90°, most intense first)
- 3.133 Å, rel. 100
- 2.227 Å, rel. 77
- 3.167 Å, rel. 58
- 1.815 Å, rel. 35
- 2.215 Å, rel. 32
- 1.413 Å, rel. 18
- 1.289 Å, rel. 15
- 2.521 Å, rel. 13
- 1.281 Å, rel. 13
- 1.404 Å, rel. 12

Cell and atoms:
```
data_Pm5Te4Ru
_chemical_formula_sum 'Pm5 Te4 Ru1'
_space_group_name_H-M_alt 'P 1'
_space_group_IT_number 1
_cell_length_a 7.6884
_cell_length_b 7.6884
_cell_length_c 7.6884
_cell_angle_alpha 99.77
_cell_angle_beta 99.77
_cell_angle_gamma 131.36
loop_
_space_group_symop_operation_xyz
'x,y,z'
loop_
_atom_site_label
_atom_site_type_symbol
_atom_site_fract_x
_atom_site_fract_y
_atom_site_fract_z
Pm1 Pm 0.0000 0.0000 0.0000
Pm2 Pm 0.2406 0.5911 0.8318
Pm3 Pm 0.4088 0.2406 0.6495
Pm4 Pm 0.5911 0.7594 0.3505
Pm5 Pm 0.7594 0.4088 0.1682
Te1 Te 0.0902 0.3084 0.3986
Te2 Te 0.3084 0.9098 0.2182
Te3 Te 0.6916 0.0902 0.7818
Te4 Te 0.9098 0.6916 0.6014
Ru1 Ru 0.5000 0.5000 0.0000
```

***

This entry pairs a crystal structure of Pm5Tl2Ru2 with its computed powder diffraction line list. Radiation: Cu Kα, 1.54184 Å. Structure: a structure optimized by DFT (GGA-PBE).
Kinematic intensities with the Lorentz-polarization factor, no thermal factor.

Peak list (10 most intense, 2θ from 15° to 90°, most intense first)
- 2.652 Å, rel. 100
- 2.857 Å, rel. 96
- 2.818 Å, rel. 96
- 2.847 Å, rel. 89
- 2.741 Å, rel. 84
- 2.450 Å, rel. 72
- 2.401 Å, rel. 66
- 2.957 Å, rel. 65
- 2.411 Å, rel. 64
- 1.602 Å, rel. 50

Cell and atoms:
```
data_Pm5Tl2Ru2
_chemical_formula_sum 'Pm10 Tl4 Ru4'
_space_group_name_H-M_alt 'P 1'
_space_group_IT_number 1
_cell_length_a 9.1662
_cell_length_b 9.1662
_cell_length_c 7.8536
_cell_angle_alpha 90.00
_cell_angle_beta 90.00
_cell_angle_gamma 49.36
loop_
_space_group_symop_operation_xyz
'x,y,z'
loop_
_atom_site_label
_atom_site_type_symbol
_atom_site_fract_x
_atom_site_fract_y
_atom_site_fract_z
Pm1 Pm 0.0000 0.0000 0.0000
Pm2 Pm 0.0540 0.7138 0.6701
Pm3 Pm 0.2138 0.5540 0.1701
Pm4 Pm 0.2862 0.9460 0.6701
Pm5 Pm 0.4460 0.7862 0.1701
Pm6 Pm 0.5000 0.5000 0.5000
Pm7 Pm 0.5540 0.2138 0.8299
Pm8 Pm 0.7138 0.0540 0.3299
Pm9 Pm 0.7862 0.4460 0.8299
Pm10 Pm 0.9460 0.2862 0.3299
Tl1 Tl 0.2196 0.2196 0.0000
Tl2 Tl 0.2804 0.2804 0.5000
Tl3 Tl 0.7196 0.7196 0.5000
Tl4 Tl 0.7804 0.7804 0.0000
Ru1 Ru 0.1279 0.8721 0.3680
Ru2 Ru 0.3721 0.6279 0.8680
Ru3 Ru 0.6279 0.3721 0.1320
Ru4 Ru 0.8721 0.1279 0.6320
```

***

This entry pairs a crystal structure of PmTm4Ru5 with its computed powder diffraction line list. Radiation: Cu Kα, 1.54184 Å. Structure: a structure optimized by DFT (GGA-PBE).
Kinematic intensities with the Lorentz-polarization factor, no thermal factor.

Peak list (8 most intense, 2θ from 15° to 90°, most intense first)
- 2.390 Å, rel. 100
- 1.380 Å, rel. 35
- 1.690 Å, rel. 17
- 1.195 Å, rel. 11
- 3.380 Å, rel. 6
- 1.512 Å, rel. 3
- 1.952 Å, rel. 2
- 1.127 Å, rel. 1

Cell and atoms:
```
data_PmTm4Ru5
_chemical_formula_sum 'Pm1 Tm4 Ru5'
_space_group_name_H-M_alt 'P 1'
_space_group_IT_number 1
_cell_length_a 3.3816
_cell_length_b 3.3816
_cell_length_c 16.8879
_cell_angle_alpha 90.00
_cell_angle_beta 90.00
_cell_angle_gamma 90.00
loop_
_space_group_symop_operation_xyz
'x,y,z'
loop_
_atom_site_label
_atom_site_type_symbol
_atom_site_fract_x
_atom_site_fract_y
_atom_site_fract_z
Pm1 Pm 0.0000 0.0000 0.0000
Tm1 Tm 0.0000 0.0000 0.2043
Tm2 Tm 0.0000 0.0000 0.4013
Tm3 Tm 0.0000 0.0000 0.5987
Tm4 Tm 0.0000 0.0000 0.7957
Ru1 Ru 0.5000 0.5000 0.1054
Ru2 Ru 0.5000 0.5000 0.3029
Ru3 Ru 0.5000 0.5000 0.5000
Ru4 Ru 0.5000 0.5000 0.6971
Ru5 Ru 0.5000 0.5000 0.8946
```

***

This entry pairs a crystal structure of PmTm2Ru with its computed powder diffraction line list. Radiation: Cu Kα, 1.54184 Å. Structure: a structure optimized by DFT (GGA-PBE).
Kinematic intensities with the Lorentz-polarization factor, no thermal factor.

Peak list (10 most intense, 2θ from 15° to 90°, most intense first)
- 2.600 Å, rel. 100
- 2.737 Å, rel. 92
- 2.770 Å, rel. 91
- 2.564 Å, rel. 69
- 2.851 Å, rel. 66
- 2.908 Å, rel. 59
- 2.276 Å, rel. 51
- 2.992 Å, rel. 49
- 1.630 Å, rel. 46
- 2.335 Å, rel. 40

Cell and atoms:
```
data_PmTm2Ru
_chemical_formula_sum 'Pm4 Tm8 Ru4'
_space_group_name_H-M_alt 'P 1'
_space_group_IT_number 1
_cell_length_a 7.3148
_cell_length_b 9.1042
_cell_length_c 6.3390
_cell_angle_alpha 90.00
_cell_angle_beta 90.00
_cell_angle_gamma 90.00
loop_
_space_group_symop_operation_xyz
'x,y,z'
loop_
_atom_site_label
_atom_site_type_symbol
_atom_site_fract_x
_atom_site_fract_y
_atom_site_fract_z
Pm1 Pm 0.0396 0.2500 0.1298
Pm2 Pm 0.4604 0.7500 0.6298
Pm3 Pm 0.5396 0.2500 0.3702
Pm4 Pm 0.9604 0.7500 0.8702
Tm1 Tm 0.1760 0.0653 0.6656
Tm2 Tm 0.1760 0.4347 0.6656
Tm3 Tm 0.3240 0.5653 0.1656
Tm4 Tm 0.3240 0.9347 0.1656
Tm5 Tm 0.6760 0.0653 0.8344
Tm6 Tm 0.6760 0.4347 0.8344
Tm7 Tm 0.8240 0.5653 0.3344
Tm8 Tm 0.8240 0.9347 0.3344
Ru1 Ru 0.1152 0.7500 0.4500
Ru2 Ru 0.3848 0.2500 0.9500
Ru3 Ru 0.6152 0.7500 0.0500
Ru4 Ru 0.8848 0.2500 0.5500
```

***

This entry pairs a crystal structure of Pm12TmRu4 with its computed powder diffraction line list. Radiation: Cu Kα, 1.54184 Å. Structure: a structure optimized by DFT (GGA-PBE).
Kinematic intensities with the Lorentz-polarization factor, no thermal factor.

Peak list (10 most intense, 2θ from 15° to 90°, most intense first)
- 3.288 Å, rel. 100
- 2.779 Å, rel. 77
- 1.783 Å, rel. 42
- 2.122 Å, rel. 34
- 1.687 Å, rel. 32
- 1.225 Å, rel. 27
- 2.325 Å, rel. 23
- 5.199 Å, rel. 19
- 2.599 Å, rel. 18
- 1.243 Å, rel. 16

Cell and atoms:
```
data_Pm12TmRu4
_chemical_formula_sum 'Pm12 Tm1 Ru4'
_space_group_name_H-M_alt 'P 1'
_space_group_IT_number 1
_cell_length_a 9.0041
_cell_length_b 9.0041
_cell_length_c 9.0041
_cell_angle_alpha 109.47
_cell_angle_beta 109.47
_cell_angle_gamma 109.47
loop_
_space_group_symop_operation_xyz
'x,y,z'
loop_
_atom_site_label
_atom_site_type_symbol
_atom_site_fract_x
_atom_site_fract_y
_atom_site_fract_z
Pm1 Pm 0.1345 0.3107 0.8238
Pm2 Pm 0.1762 0.4869 0.3107
Pm3 Pm 0.1762 0.8655 0.6893
Pm4 Pm 0.3107 0.1762 0.4869
Pm5 Pm 0.3107 0.8238 0.1345
Pm6 Pm 0.4869 0.3107 0.1762
Pm7 Pm 0.5131 0.6893 0.8238
Pm8 Pm 0.6893 0.1762 0.8655
Pm9 Pm 0.6893 0.8238 0.5131
Pm10 Pm 0.8238 0.1345 0.3107
Pm11 Pm 0.8238 0.5131 0.6893
Pm12 Pm 0.8655 0.6893 0.1762
Tm1 Tm 0.0000 0.0000 0.0000
Ru1 Ru 0.0000 0.0000 0.5000
Ru2 Ru 0.0000 0.5000 0.0000
Ru3 Ru 0.5000 0.0000 0.0000
Ru4 Ru 0.5000 0.5000 0.5000
```

***

This entry pairs a crystal structure of PmY3Ru2 with its computed powder diffraction line list. Radiation: Cu Kα, 1.54184 Å. Structure: a structure optimized by DFT (GGA-PBE).
Kinematic intensities with the Lorentz-polarization factor, no thermal factor.

Peak list (10 most intense, 2θ from 15° to 90°, most intense first)
- 2.403 Å, rel. 100
- 3.975 Å, rel. 88
- 2.579 Å, rel. 63
- 2.450 Å, rel. 60
- 3.055 Å, rel. 44
- 1.424 Å, rel. 37
- 2.056 Å, rel. 37
- 3.398 Å, rel. 33
- 2.304 Å, rel. 32
- 3.136 Å, rel. 26

Cell and atoms:
```
data_PmY3Ru2
_chemical_formula_sum 'Pm2 Y6 Ru4'
_space_group_name_H-M_alt 'P 1'
_space_group_IT_number 1
_cell_length_a 8.3854
_cell_length_b 8.3854
_cell_length_c 8.3854
_cell_angle_alpha 132.23
_cell_angle_beta 71.53
_cell_angle_gamma 130.14
loop_
_space_group_symop_operation_xyz
'x,y,z'
loop_
_atom_site_label
_atom_site_type_symbol
_atom_site_fract_x
_atom_site_fract_y
_atom_site_fract_z
Pm1 Pm 0.0000 0.0000 0.0000
Pm2 Pm 0.5000 0.5000 0.0000
Y1 Y 0.0119 0.2500 0.7619
Y2 Y 0.2500 0.7500 0.5000
Y3 Y 0.4881 0.2500 0.2381
Y4 Y 0.5119 0.7500 0.7619
Y5 Y 0.7500 0.2500 0.5000
Y6 Y 0.9881 0.7500 0.2381
Ru1 Ru 0.1336 0.7239 0.8576
Ru2 Ru 0.3664 0.2239 0.5903
Ru3 Ru 0.6336 0.7761 0.4097
Ru4 Ru 0.8664 0.2761 0.1424
```

***

This entry pairs a crystal structure of Pm6Y2Ru with its computed powder diffraction line list. Radiation: Cu Kα, 1.54184 Å. Structure: a structure optimized by DFT (GGA-PBE).
Kinematic intensities with the Lorentz-polarization factor, no thermal factor.

Peak list (10 most intense, 2θ from 15° to 90°, most intense first)
- 2.870 Å, rel. 100
- 2.886 Å, rel. 62
- 2.857 Å, rel. 49
- 3.038 Å, rel. 46
- 1.865 Å, rel. 36
- 1.581 Å, rel. 29
- 2.825 Å, rel. 27
- 1.726 Å, rel. 23
- 3.268 Å, rel. 23
- 2.233 Å, rel. 20

Cell and atoms:
```
data_Pm6Y2Ru
_chemical_formula_sum 'Pm6 Y2 Ru1'
_space_group_name_H-M_alt 'P 1'
_space_group_IT_number 1
_cell_length_a 8.7846
_cell_length_b 3.7947
_cell_length_c 8.9050
_cell_angle_alpha 90.00
_cell_angle_beta 93.20
_cell_angle_gamma 90.00
loop_
_space_group_symop_operation_xyz
'x,y,z'
loop_
_atom_site_label
_atom_site_type_symbol
_atom_site_fract_x
_atom_site_fract_y
_atom_site_fract_z
Pm1 Pm 0.0323 0.0000 0.1973
Pm2 Pm 0.2290 0.5000 0.5518
Pm3 Pm 0.4452 0.0000 0.2808
Pm4 Pm 0.5548 0.0000 0.7192
Pm5 Pm 0.7710 0.5000 0.4482
Pm6 Pm 0.9677 0.0000 0.8027
Y1 Y 0.3016 0.5000 0.9676
Y2 Y 0.6984 0.5000 0.0324
Ru1 Ru 0.0000 0.0000 0.5000
```